Simulated X-ray powder pattern
Compound: La8Sm
Radiation: Cu Ka
Structure: a structure optimized by DFT (GGA-PBE)
Kinematic intensities with the Lorentz-polarization factor, no thermal factor.

Structural model:
```
data_La8Sm
_cell_length_a 11.117
_cell_length_b 11.117
_cell_length_c 5.279
_cell_angle_alpha 90.00
_cell_angle_beta 90.00
_cell_angle_gamma 90.00
_space_group_name_H-M_alt 'I 4/m m m'
_space_group_IT_number 139
_space_group_name_Hall '-I 4 2'
loop_
_atom_site_label
_atom_site_fract_x
_atom_site_fract_y
_atom_site_fract_z
La1 0.000 0.333 0.000
La2 0.167 0.167 0.500
Sm1 0.000 0.000 0.000
```

Peak list (6 most intense, 2θ from 10° to 90°, by angle)
2theta, I (rel.)
29.45, 100
33.96, 17
34.22, 34
48.99, 24
58.03, 15
58.36, 29